Sr8SnPb3O16: theoretical powder diffractogram (Cu Kα), based on a GGA-PBE-relaxed structure.
Lines closer than 0.1° are merged.

Principal peaks in the range 2θ = 15–90°, by angle:
| two_theta | Rel. int. |
| --- | --- |
| 22.0 | 11 |
| 29.7 | 100 |
| 41.3 | 14 |
| 42.4 | 21 |
| 42.7 | 8 |
| 52.7 | 25 |
| 52.8 | 11 |
| 60.7 | 9 |
| 61.7 | 10 |
| 69.8 | 13 |

Structural model:
```
data_Sr8SnPb3O16
_cell_length_a 6.027
_cell_length_b 6.027
_cell_length_c 12.718
_cell_angle_alpha 90.00
_cell_angle_beta 90.00
_cell_angle_gamma 90.00
_symmetry_space_group_name_H-M 'P 1'
_symmetry_Int_Tables_number 1
loop_
_symmetry_equiv_pos_as_xyz
'x,y,z'
loop_
_atom_site_label
_atom_site_fract_x
_atom_site_fract_y
_atom_site_fract_z
_atom_site_occupancy
Sr1 0.000 0.000 0.145 1
Sr2 0.000 0.000 0.855 1
Sr3 0.000 0.500 0.358 1
Sr4 0.000 0.500 0.642 1
Sr5 0.500 0.000 0.358 1
Sr6 0.500 0.000 0.642 1
Sr7 0.500 0.500 0.148 1
Sr8 0.500 0.500 0.852 1
Sn1 0.500 0.500 0.500 1
Pb1 0.000 0.000 0.500 1
Pb2 0.000 0.500 0.000 1
Pb3 0.500 0.000 0.000 1
O1 0.000 0.000 0.331 1
O2 0.000 0.000 0.669 1
O3 0.000 0.500 0.171 1
O4 0.000 0.500 0.829 1
O5 0.250 0.250 0.000 1
O6 0.250 0.750 0.000 1
O7 0.256 0.256 0.500 1
O8 0.256 0.744 0.500 1
O9 0.500 0.000 0.171 1
O10 0.500 0.000 0.829 1
O11 0.500 0.500 0.336 1
O12 0.500 0.500 0.664 1
O13 0.744 0.256 0.500 1
O14 0.744 0.744 0.500 1
O15 0.750 0.250 0.000 1
O16 0.750 0.750 0.000 1
```

Ba2MgV2S6: theoretical powder diffractogram (Cu Kα), based on a GGA-PBE-relaxed structure.
Lines closer than 0.1° are merged.

Principal peaks in the range 2θ = 15–90°, by angle:
| two_theta | Rel. int. |
| --- | --- |
| 19.3 | 59 |
| 25.3 | 61 |
| 25.4 | 41 |
| 32.1 | 100 |
| 36.2 | 17 |
| 39.2 | 21 |
| 41.3 | 22 |
| 49.2 | 30 |
| 52.0 | 30 |
| 58.8 | 20 |

Structural model:
```
data_Ba2MgV2S6
_cell_length_a 7.030
_cell_length_b 7.030
_cell_length_c 7.002
_cell_angle_alpha 90.00
_cell_angle_beta 90.00
_cell_angle_gamma 120.00
_symmetry_space_group_name_H-M 'P 1'
_symmetry_Int_Tables_number 1
loop_
_symmetry_equiv_pos_as_xyz
'x,y,z'
loop_
_atom_site_label
_atom_site_fract_x
_atom_site_fract_y
_atom_site_fract_z
_atom_site_occupancy
Ba1 0.000 0.000 0.000 1
Ba2 0.333 0.667 0.500 1
Mg1 0.667 0.333 0.000 1
V1 0.667 0.333 0.348 1
V2 0.667 0.333 0.652 1
S1 0.033 0.516 0.000 1
S2 0.333 0.166 0.500 1
S3 0.484 0.516 0.000 1
S4 0.484 0.967 0.000 1
S5 0.834 0.166 0.500 1
S6 0.834 0.667 0.500 1
```

SrAcAu2: theoretical powder diffractogram (Cu Kα), based on a GGA-PBE-relaxed structure.
Lines closer than 0.1° are merged.

Principal peaks in the range 2θ = 15–90°, by angle:
| two_theta | Rel. int. |
| --- | --- |
| 19.8 | 8 |
| 22.9 | 2 |
| 32.6 | 100 |
| 38.5 | 5 |
| 46.8 | 19 |
| 51.3 | 2 |
| 58.2 | 39 |
| 68.3 | 12 |
| 77.8 | 17 |
| 86.9 | 4 |

Structural model:
```
data_SrAcAu2
_cell_length_a 5.491
_cell_length_b 5.491
_cell_length_c 5.491
_cell_angle_alpha 60.00
_cell_angle_beta 60.00
_cell_angle_gamma 60.00
_symmetry_space_group_name_H-M 'P 1'
_symmetry_Int_Tables_number 1
loop_
_symmetry_equiv_pos_as_xyz
'x,y,z'
loop_
_atom_site_label
_atom_site_fract_x
_atom_site_fract_y
_atom_site_fract_z
_atom_site_occupancy
Sr1 0.000 0.000 0.000 1
Ac1 0.500 0.500 0.500 1
Au1 0.250 0.250 0.250 1
Au2 0.750 0.750 0.750 1
```

Cu3BiTe2ClO8: theoretical powder diffractogram (Cu Kα), based on a GGA-PBE-relaxed structure.
Lines closer than 0.1° are merged.

Principal peaks in the range 2θ = 15–90°, by angle:
| two_theta | Rel. int. |
| --- | --- |
| 15.1 | 57 |
| 16.3 | 45 |
| 25.6 | 73 |
| 27.7 | 34 |
| 28.2 | 37 |
| 29.6 | 48 |
| 30.1 | 64 |
| 30.4 | 100 |
| 35.3 | 52 |
| 52.7 | 28 |

Structural model:
```
data_Cu3BiTe2ClO8
_cell_length_a 14.533
_cell_length_b 10.024
_cell_length_c 6.449
_cell_angle_alpha 90.00
_cell_angle_beta 90.00
_cell_angle_gamma 90.00
_symmetry_space_group_name_H-M 'P 1'
_symmetry_Int_Tables_number 1
loop_
_symmetry_equiv_pos_as_xyz
'x,y,z'
loop_
_atom_site_label
_atom_site_fract_x
_atom_site_fract_y
_atom_site_fract_z
_atom_site_occupancy
Cu1 0.141 0.250 0.194 1
Cu2 0.241 0.012 0.515 1
Cu3 0.241 0.488 0.515 1
Cu4 0.259 0.512 0.015 1
Cu5 0.259 0.988 0.015 1
Cu6 0.359 0.750 0.694 1
Cu7 0.641 0.250 0.306 1
Cu8 0.741 0.012 0.985 1
Cu9 0.741 0.488 0.985 1
Cu10 0.759 0.512 0.485 1
Cu11 0.759 0.988 0.485 1
Cu12 0.859 0.750 0.806 1
Bi1 0.135 0.750 0.765 1
Bi2 0.365 0.250 0.265 1
Bi3 0.635 0.750 0.735 1
Bi4 0.865 0.250 0.235 1
Te1 0.043 0.563 0.242 1
Te2 0.043 0.937 0.242 1
Te3 0.457 0.063 0.742 1
Te4 0.457 0.437 0.742 1
Te5 0.543 0.563 0.258 1
Te6 0.543 0.937 0.258 1
Te7 0.957 0.063 0.758 1
Te8 0.957 0.437 0.758 1
Cl1 0.178 0.250 0.780 1
Cl2 0.322 0.750 0.280 1
Cl3 0.678 0.250 0.720 1
Cl4 0.822 0.750 0.220 1
O1 0.037 0.121 0.178 1
O2 0.037 0.379 0.178 1
O3 0.114 0.558 0.493 1
O4 0.114 0.942 0.493 1
O5 0.140 0.602 0.050 1
O6 0.140 0.898 0.050 1
O7 0.238 0.114 0.250 1
O8 0.238 0.386 0.250 1
O9 0.262 0.614 0.750 1
O10 0.262 0.886 0.750 1
O11 0.360 0.102 0.550 1
O12 0.360 0.398 0.550 1
O13 0.386 0.058 0.993 1
O14 0.386 0.442 0.993 1
O15 0.463 0.621 0.678 1
O16 0.463 0.879 0.678 1
O17 0.537 0.121 0.322 1
O18 0.537 0.379 0.322 1
O19 0.614 0.558 0.007 1
O20 0.614 0.942 0.007 1
O21 0.640 0.602 0.450 1
O22 0.640 0.898 0.450 1
O23 0.738 0.114 0.250 1
O24 0.738 0.386 0.250 1
O25 0.762 0.614 0.750 1
O26 0.762 0.886 0.750 1
O27 0.860 0.102 0.950 1
O28 0.860 0.398 0.950 1
O29 0.886 0.058 0.507 1
O30 0.886 0.442 0.507 1
O31 0.963 0.621 0.822 1
O32 0.963 0.879 0.822 1
```

GaPtO2: theoretical powder diffractogram (Cu Kα), based on a GGA-PBE-relaxed structure.
Lines closer than 0.1° are merged.

Principal peaks in the range 2θ = 15–90°, by angle:
| two_theta | Rel. int. |
| --- | --- |
| 28.9 | 51 |
| 35.4 | 30 |
| 36.4 | 100 |
| 40.3 | 57 |
| 53.4 | 38 |
| 61.8 | 24 |
| 62.9 | 24 |
| 70.7 | 25 |
| 75.0 | 12 |
| 87.0 | 9 |

Structural model:
```
data_GaPtO2
_cell_length_a 6.408
_cell_length_b 6.408
_cell_length_c 6.408
_cell_angle_alpha 26.64
_cell_angle_beta 26.64
_cell_angle_gamma 26.64
_symmetry_space_group_name_H-M 'P 1'
_symmetry_Int_Tables_number 1
loop_
_symmetry_equiv_pos_as_xyz
'x,y,z'
loop_
_atom_site_label
_atom_site_fract_x
_atom_site_fract_y
_atom_site_fract_z
_atom_site_occupancy
Ga1 0.000 0.000 0.000 1
Pt1 0.500 0.500 0.500 1
O1 0.389 0.389 0.389 1
O2 0.611 0.611 0.611 1
```

LiYMg6: theoretical powder diffractogram (Cu Kα), based on a GGA-PBE-relaxed structure.
Lines closer than 0.1° are merged.

Principal peaks in the range 2θ = 15–90°, by angle:
| two_theta | Rel. int. |
| --- | --- |
| 15.5 | 45 |
| 23.3 | 39 |
| 27.1 | 13 |
| 31.3 | 26 |
| 32.3 | 16 |
| 35.0 | 24 |
| 36.0 | 100 |
| 47.7 | 16 |
| 63.4 | 18 |
| 67.6 | 19 |

Structural model:
```
data_LiYMg6
_cell_length_a 5.134
_cell_length_b 6.594
_cell_length_c 6.594
_cell_angle_alpha 59.89
_cell_angle_beta 90.00
_cell_angle_gamma 90.00
_symmetry_space_group_name_H-M 'P 1'
_symmetry_Int_Tables_number 1
loop_
_symmetry_equiv_pos_as_xyz
'x,y,z'
loop_
_atom_site_label
_atom_site_fract_x
_atom_site_fract_y
_atom_site_fract_z
_atom_site_occupancy
Li1 0.000 0.000 0.000 1
Y1 0.000 0.503 0.503 1
Mg1 0.000 0.515 0.999 1
Mg2 0.000 0.999 0.515 1
Mg3 0.500 0.161 0.677 1
Mg4 0.500 0.169 0.169 1
Mg5 0.500 0.673 0.673 1
Mg6 0.500 0.677 0.161 1
```

Ac3Tb: theoretical powder diffractogram (Cu Kα), based on a GGA-PBE-relaxed structure.
Lines closer than 0.1° are merged.

Principal peaks in the range 2θ = 15–90°, by angle:
| two_theta | Rel. int. |
| --- | --- |
| 26.3 | 23 |
| 28.0 | 26 |
| 29.9 | 100 |
| 38.8 | 17 |
| 46.5 | 20 |
| 50.8 | 24 |
| 55.2 | 25 |
| 56.3 | 18 |
| 75.9 | 15 |
| 89.5 | 10 |

Structural model:
```
data_Ac3Tb
_cell_length_a 7.813
_cell_length_b 7.813
_cell_length_c 6.367
_cell_angle_alpha 90.00
_cell_angle_beta 90.00
_cell_angle_gamma 120.00
_symmetry_space_group_name_H-M 'P 1'
_symmetry_Int_Tables_number 1
loop_
_symmetry_equiv_pos_as_xyz
'x,y,z'
loop_
_atom_site_label
_atom_site_fract_x
_atom_site_fract_y
_atom_site_fract_z
_atom_site_occupancy
Ac1 0.169 0.339 0.250 1
Ac2 0.169 0.831 0.250 1
Ac3 0.339 0.169 0.750 1
Ac4 0.661 0.831 0.250 1
Ac5 0.831 0.169 0.750 1
Ac6 0.831 0.661 0.750 1
Tb1 0.333 0.667 0.750 1
Tb2 0.667 0.333 0.250 1
```

HfFeSi2: theoretical powder diffractogram (Cu Kα), based on a GGA-PBE-relaxed structure.
Lines closer than 0.1° are merged.

Principal peaks in the range 2θ = 15–90°, by angle:
| two_theta | Rel. int. |
| --- | --- |
| 29.4 | 54 |
| 31.6 | 23 |
| 33.1 | 25 |
| 34.9 | 25 |
| 39.5 | 100 |
| 41.0 | 37 |
| 41.2 | 30 |
| 43.6 | 38 |
| 47.2 | 22 |
| 64.3 | 23 |

Structural model:
```
data_HfFeSi2
_cell_length_a 9.669
_cell_length_b 9.669
_cell_length_c 9.669
_cell_angle_alpha 149.13
_cell_angle_beta 133.02
_cell_angle_gamma 57.28
_symmetry_space_group_name_H-M 'P 1'
_symmetry_Int_Tables_number 1
loop_
_symmetry_equiv_pos_as_xyz
'x,y,z'
loop_
_atom_site_label
_atom_site_fract_x
_atom_site_fract_y
_atom_site_fract_z
_atom_site_occupancy
Hf1 0.142 0.142 0.000 1
Hf2 0.143 0.404 0.738 1
Hf3 0.334 0.596 0.738 1
Hf4 0.666 0.404 0.262 1
Hf5 0.857 0.596 0.262 1
Hf6 0.858 0.858 0.000 1
Fe1 0.000 0.000 0.500 1
Fe2 0.000 0.500 0.000 1
Fe3 0.255 0.000 0.255 1
Fe4 0.500 0.000 0.000 1
Fe5 0.500 0.500 0.500 1
Fe6 0.745 0.000 0.745 1
Si1 0.000 0.254 0.254 1
Si2 0.000 0.746 0.746 1
Si3 0.209 0.861 0.349 1
Si4 0.214 0.714 0.500 1
Si5 0.298 0.298 0.000 1
Si6 0.488 0.139 0.349 1
Si7 0.500 0.259 0.759 1
Si8 0.500 0.741 0.241 1
Si9 0.512 0.861 0.651 1
Si10 0.702 0.702 0.000 1
Si11 0.786 0.286 0.500 1
Si12 0.791 0.139 0.651 1
```

La5S8: theoretical powder diffractogram (Cu Kα), based on a GGA-PBE-relaxed structure.
Lines closer than 0.1° are merged.

Principal peaks in the range 2θ = 15–90°, by angle:
| two_theta | Rel. int. |
| --- | --- |
| 24.9 | 90 |
| 32.4 | 100 |
| 38.5 | 72 |
| 46.4 | 38 |
| 48.8 | 24 |
| 51.1 | 12 |
| 53.4 | 31 |
| 65.8 | 31 |
| 69.7 | 16 |
| 80.7 | 21 |

Structural model:
```
data_La5S8
_cell_length_a 7.576
_cell_length_b 7.576
_cell_length_c 7.576
_cell_angle_alpha 109.43
_cell_angle_beta 109.43
_cell_angle_gamma 109.55
_symmetry_space_group_name_H-M 'P 1'
_symmetry_Int_Tables_number 1
loop_
_symmetry_equiv_pos_as_xyz
'x,y,z'
loop_
_atom_site_label
_atom_site_fract_x
_atom_site_fract_y
_atom_site_fract_z
_atom_site_occupancy
La1 0.000 0.000 0.000 1
La2 0.131 0.515 0.880 1
La3 0.485 0.365 0.616 1
La4 0.635 0.251 0.120 1
La5 0.749 0.869 0.384 1
S1 0.017 0.255 0.399 1
S2 0.227 0.141 0.769 1
S3 0.372 0.458 0.231 1
S4 0.382 0.983 0.238 1
S5 0.542 0.773 0.915 1
S6 0.745 0.144 0.762 1
S7 0.856 0.618 0.601 1
S8 0.859 0.628 0.085 1
```

Mg14FeSi: theoretical powder diffractogram (Cu Kα), based on a GGA-PBE-relaxed structure.
Lines closer than 0.1° are merged.

Principal peaks in the range 2θ = 15–90°, by angle:
| two_theta | Rel. int. |
| --- | --- |
| 33.3 | 24 |
| 33.5 | 13 |
| 35.5 | 37 |
| 37.9 | 100 |
| 38.0 | 47 |
| 49.5 | 14 |
| 59.7 | 16 |
| 65.4 | 16 |
| 71.5 | 17 |
| 72.8 | 13 |

Structural model:
```
data_Mg14FeSi
_cell_length_a 10.106
_cell_length_b 6.193
_cell_length_c 6.193
_cell_angle_alpha 60.32
_cell_angle_beta 90.00
_cell_angle_gamma 90.00
_symmetry_space_group_name_H-M 'P 1'
_symmetry_Int_Tables_number 1
loop_
_symmetry_equiv_pos_as_xyz
'x,y,z'
loop_
_atom_site_label
_atom_site_fract_x
_atom_site_fract_y
_atom_site_fract_z
_atom_site_occupancy
Mg1 0.000 0.000 0.000 1
Mg2 0.000 0.497 0.997 1
Mg3 0.000 0.500 0.500 1
Mg4 0.000 0.997 0.497 1
Mg5 0.253 0.333 0.333 1
Mg6 0.257 0.835 0.835 1
Mg7 0.271 0.325 0.829 1
Mg8 0.271 0.829 0.325 1
Mg9 0.500 0.005 0.505 1
Mg10 0.500 0.505 0.005 1
Mg11 0.729 0.325 0.829 1
Mg12 0.729 0.829 0.325 1
Mg13 0.743 0.835 0.835 1
Mg14 0.747 0.333 0.333 1
Fe1 0.500 0.997 0.997 1
Si1 0.500 0.493 0.493 1
```

CrIn2S4: theoretical powder diffractogram (Cu Kα), based on a GGA-PBE-relaxed structure.
Lines closer than 0.1° are merged.

Principal peaks in the range 2θ = 15–90°, by angle:
| two_theta | Rel. int. |
| --- | --- |
| 27.5 | 100 |
| 28.7 | 12 |
| 33.3 | 62 |
| 43.7 | 39 |
| 47.8 | 76 |
| 56.1 | 13 |
| 59.5 | 14 |
| 66.8 | 21 |
| 79.7 | 18 |
| 89.2 | 25 |

Structural model:
```
data_CrIn2S4
_cell_length_a 7.606
_cell_length_b 7.606
_cell_length_c 7.606
_cell_angle_alpha 60.00
_cell_angle_beta 60.00
_cell_angle_gamma 60.00
_symmetry_space_group_name_H-M 'P 1'
_symmetry_Int_Tables_number 1
loop_
_symmetry_equiv_pos_as_xyz
'x,y,z'
loop_
_atom_site_label
_atom_site_fract_x
_atom_site_fract_y
_atom_site_fract_z
_atom_site_occupancy
Cr1 0.125 0.125 0.125 1
Cr2 0.875 0.875 0.875 1
In1 0.000 0.500 0.500 1
In2 0.500 0.000 0.500 1
In3 0.500 0.500 0.000 1
In4 0.500 0.500 0.500 1
S1 0.253 0.253 0.253 1
S2 0.253 0.253 0.741 1
S3 0.253 0.741 0.253 1
S4 0.259 0.747 0.747 1
S5 0.741 0.253 0.253 1
S6 0.747 0.259 0.747 1
S7 0.747 0.747 0.259 1
S8 0.747 0.747 0.747 1
```